# Ce2HoTh7
Theoretical PXRD pattern, Cu Kα. Input: the GGA-PBE geometry in Alexandria.
Lines closer than 0.1° are merged.

```
data_Ce2HoTh7
_chemical_formula_sum 'Ce4 Ho2 Th14'
_cell_length_a 18.0381
_cell_length_b 4.9782
_cell_length_c 7.0716
_cell_angle_alpha 90.00
_cell_angle_beta 101.52
_cell_angle_gamma 90.00
_symmetry_space_group_name_H-M 'C 1 2/m 1'
_symmetry_Int_Tables_number 12
_symmetry_space_group_name_Hall '-C 2y'
loop_
_atom_site_label
_atom_site_fract_x
_atom_site_fract_y
_atom_site_fract_z
Ce1 0.1988 0.0000 0.0992
Ho1 0.0000 0.0000 0.5000
Th1 0.0000 0.0000 0.0000
Th2 0.1007 0.5000 0.3011
Th3 0.1018 0.5000 0.8019
Th4 0.2003 0.0000 0.6023
```

Principal peaks in the range 2θ from 5° to 70°, low angle first:
2θ = 17.8°, rel. 1; 2θ = 31.0°, rel. 100; 2θ = 35.9°, rel. 17; 2θ = 36.0°, rel. 34; 2θ = 51.7°, rel. 25; 2θ = 51.9°, rel. 12; 2θ = 61.4°, rel. 15; 2θ = 61.6°, rel. 15; 2θ = 61.8°, rel. 15; 2θ = 64.7°, rel. 13